K3YN2: theoretical PXRD pattern (λ = 1.5418 Å (Cu Kα)), based on the GGA-PBE geometry in the Materials Project.
No peak broadening, texture or thermal motion is included.

Top 10 peaks for 10° ≤ 2θ ≤ 90°, low angle first:
- 16.97°, intensity 296
- 26.05°, intensity 478
- 27.88°, intensity 1000
- 29.61°, intensity 433
- 35.77°, intensity 757
- 39.84°, intensity 587
- 43.59°, intensity 373
- 52.55°, intensity 261
- 62.42°, intensity 301
- 64.28°, intensity 199

Structure:
```
data_K3YN2
_cell_length_a 12.798
_cell_length_b 12.798
_cell_length_c 12.798
_cell_angle_alpha 90.00
_cell_angle_beta 90.00
_cell_angle_gamma 90.00
_symmetry_space_group_name_H-M 'I a -3'
_symmetry_Int_Tables_number 206
_symmetry_space_group_name_Hall '-I 2b 2c 3'
loop_
_atom_site_label
_atom_site_type_symbol
_atom_site_fract_x
_atom_site_fract_y
_atom_site_fract_z
_atom_site_occupancy
K1 K 0.090 0.164 0.359 1
Y1 Y 0.104 0.104 0.104 1
N1 N 0.000 0.000 0.000 1
N2 N 0.000 0.250 0.165 1
```